Record 1
Structure and computed powder XRD pattern of Pm8Tl2Ir3 (a structure optimized by DFT (GGA-PBE); copper Kα).
Neutral-atom scattering factors, no anomalous dispersion.

Lattice parameters (Å, degrees): 9.0845 5.0431 9.0920 90.00 112.14 90.00
Fractional positions:
Pm (0.1102, 0.0000, 0.3896)
Pm (0.1436, 0.5000, 0.8678)
Pm (0.3678, 0.5000, 0.6438)
Pm (0.3872, 0.0000, 0.1128)
Pm (0.6128, 0.0000, 0.8872)
Pm (0.6322, 0.5000, 0.3562)
Pm (0.8564, 0.5000, 0.1322)
Pm (0.8898, 0.0000, 0.6104)
Tl (0.2428, 0.5000, 0.2580)
Tl (0.7572, 0.5000, 0.7420)
Ir (0.2447, 0.0000, 0.7448)
Ir (0.5000, 0.5000, 0.0000)
Ir (0.7553, 0.0000, 0.2552)

Most intense lines, 5° ≤ 2θ ≤ 70°, in order of rising 2θ:
- 2θ = 11.74°, 7.541 Å, rel. 10, hkl 1 0 -1
- 2θ = 21.15°, 4.200 Å, rel. 27, hkl 1 1 -1
- 2θ = 34.57°, 2.595 Å, rel. 100, hkl 3 1 -1
- 2θ = 35.39°, 2.537 Å, rel. 25, hkl 2 0 2
- 2θ = 35.60°, 2.522 Å, rel. 25, hkl 0 2 0
- 2θ = 48.28°, 1.885 Å, rel. 8, hkl 4 0 -4
- 2θ = 51.08°, 1.788 Å, rel. 18, hkl 2 2 2
- 2θ = 61.26°, 1.513 Å, rel. 8, hkl 6 0 -2
- 2θ = 61.42°, 1.510 Å, rel. 9, hkl 4 2 -4
- 2θ = 62.98°, 1.476 Å, rel. 9, hkl 1 1 5
- 2θ = 63.03°, 1.475 Å, rel. 9, hkl 5 1 1
- 2θ = 63.28°, 1.470 Å, rel. 18, hkl 3 3 -1

=====

Record 2
Structure and computed powder XRD pattern of Pm2TlIr (a structure optimized by DFT (GGA-PBE); copper Kα).
Neutral-atom scattering factors, no anomalous dispersion.

Lattice parameters (Å, degrees): 4.1255 4.1255 24.2474 90.00 90.00 120.00
Fractional positions:
Pm (0.0000, 0.0000, 0.0000)
Pm (0.0000, 0.0000, 0.2060)
Pm (0.3333, 0.6667, 0.6667)
Pm (0.3333, 0.6667, 0.8726)
Pm (0.6667, 0.3333, 0.3333)
Pm (0.6667, 0.3333, 0.5393)
Tl (0.0000, 0.0000, 0.4369)
Tl (0.3333, 0.6667, 0.1036)
Tl (0.6667, 0.3333, 0.7703)
Ir (0.0000, 0.0000, 0.6023)
Ir (0.3333, 0.6667, 0.2690)
Ir (0.6667, 0.3333, 0.9357)

Most intense lines, 5° ≤ 2θ ≤ 70°, in order of rising 2θ:
- 2θ = 10.95°, 8.082 Å, rel. 10, hkl 0 0 3
- 2θ = 25.20°, 3.535 Å, rel. 15, hkl 1 0 1
- 2θ = 26.00°, 3.427 Å, rel. 26, hkl 0 1 2
- 2θ = 29.01°, 3.078 Å, rel. 18, hkl 1 0 4
- 2θ = 31.09°, 2.876 Å, rel. 100, hkl 0 1 5
- 2θ = 36.12°, 2.487 Å, rel. 28, hkl 1 0 7
- 2θ = 38.97°, 2.311 Å, rel. 13, hkl 0 1 8
- 2θ = 43.89°, 2.063 Å, rel. 50, hkl 1 1 0
- 2θ = 45.19°, 2.006 Å, rel. 16, hkl 1 0 10
- 2θ = 54.76°, 1.676 Å, rel. 21, hkl 2 0 5
- 2θ = 55.58°, 1.653 Å, rel. 13, hkl 1 0 13
- 2θ = 64.56°, 1.443 Å, rel. 12, hkl 1 1 12

=====

Record 3
Structure and computed powder XRD pattern of Pm2Tm3Ir2 (a structure optimized by DFT (GGA-PBE); copper Kα).
Neutral-atom scattering factors, no anomalous dispersion.

Lattice parameters (Å, degrees): 12.1577 3.8035 8.9565 90.00 116.96 90.00
Fractional positions:
Pm (0.1650, 0.0000, 0.3053)
Pm (0.3350, 0.5000, 0.6947)
Pm (0.6650, 0.5000, 0.3053)
Pm (0.8350, 0.0000, 0.6947)
Tm (0.0000, 0.5000, 0.5000)
Tm (0.1209, 0.5000, 0.9314)
Tm (0.3791, 0.0000, 0.0686)
Tm (0.5000, 0.0000, 0.5000)
Tm (0.6209, 0.0000, 0.9314)
Tm (0.8791, 0.5000, 0.0686)
Ir (0.1712, 0.0000, 0.7401)
Ir (0.3288, 0.5000, 0.2599)
Ir (0.6712, 0.5000, 0.7401)
Ir (0.8288, 0.0000, 0.2599)

Most intense lines, 5° ≤ 2θ ≤ 70°, in order of rising 2θ:
- 2θ = 15.03°, 5.893 Å, rel. 34, hkl 2 0 -1
- 2θ = 30.90°, 2.893 Å, rel. 44, hkl 1 1 -2
- 2θ = 32.28°, 2.773 Å, rel. 49, hkl 3 1 -1
- 2θ = 33.37°, 2.685 Å, rel. 43, hkl 2 0 2
- 2θ = 34.23°, 2.620 Å, rel. 100, hkl 3 1 -2
- 2θ = 34.95°, 2.567 Å, rel. 22, hkl 4 0 -3
- 2θ = 36.08°, 2.489 Å, rel. 41, hkl 1 1 2
- 2θ = 38.99°, 2.310 Å, rel. 34, hkl 1 1 -3
- 2θ = 47.83°, 1.902 Å, rel. 28, hkl 0 2 0
- 2θ = 50.48°, 1.808 Å, rel. 17, hkl 6 0 -4
- 2θ = 58.56°, 1.576 Å, rel. 17, hkl 7 1 -2
- 2θ = 59.57°, 1.552 Å, rel. 16, hkl 2 2 2